The following is a theoretical powder diffractogram of Ba2YFe3O8. It was derived from a cell relaxed with GGA+U, using CuKα.

The 10 most intense peaks (5° ≤ 2θ ≤ 70°), most intense first:
| 2θ/deg | d/Å | intensity |
| --- | --- | --- |
| 31.64 | 2.828 | 100.0 |
| 31.89 | 2.806 | 42.4 |
| 56.67 | 1.624 | 36.9 |
| 45.72 | 1.984 | 30.1 |
| 56.19 | 1.637 | 21.5 |
| 39.11 | 2.303 | 17.2 |
| 66.07 | 1.414 | 13.8 |
| 44.97 | 2.016 | 11.5 |
| 22.40 | 3.969 | 9.1 |
| 66.65 | 1.403 | 8.9 |

Unit cell a=3.969 b=3.969 c=12.094 alpha=90.00 beta=90.00 gamma=90.00
Space group P4/mmm (No. 123)
Inequivalent atoms, fractional coordinates:
Ba1 0.000 0.000 0.163 [2 per cell]
Y1 0.000 0.000 0.500 [1 per cell]
Fe1 0.500 0.500 0.000 [1 per cell]
Fe2 0.500 0.500 0.340 [2 per cell]
O1 0.000 0.500 0.000 [2 per cell]
O2 0.000 0.500 0.384 [4 per cell]
O3 0.500 0.500 0.185 [2 per cell]